# CeAlB14
Calculated powder diffractogram, copper Kα. Input: a crystal structure in Alexandria, relaxed with GGA-PBE.

The 12 most intense peaks (5° ≤ 2θ ≤ 70°), sorted by position:
d (Å)	Rel. int.
6.566	84.8
5.327	81.8
4.809	34.1
3.569	79.0
3.267	26.7
3.241	100.0
2.687	77.9
2.576	39.7
2.457	69.7
2.273	58.2
2.187	75.2
1.806	28.5

Structure:
```
32
Lattice="-2.943 5.327 4.169 2.943 -5.327 4.169 2.943 5.327 -4.169" Properties=species:S:1:pos:R:3 pbc="T T T"
Ce 0.000 2.663 1.167
Ce 2.943 2.663 3.002
Al 1.472 2.663 -2.084
Al 1.472 -2.663 2.084
B 2.943 -3.884 3.062
B 1.481 0.838 -0.405
B 4.406 0.838 -0.405
B 2.943 -0.930 1.375
B 2.943 1.779 0.298
B 1.975 0.628 1.340
B 3.912 0.628 1.340
B 2.943 -1.443 3.062
B 2.943 4.396 -1.375
B 2.943 3.547 0.298
B 1.481 4.489 -0.405
B 1.463 -0.838 3.763
B 1.975 5.955 -1.340
B 0.968 0.628 2.829
B 1.975 4.699 1.340
B 0.968 -0.628 5.508
B 1.481 6.165 0.405
B 1.463 0.838 4.574
B 0.000 1.779 3.870
B 0.000 0.930 5.543
B 0.000 6.769 1.106
B -0.968 4.699 2.829
B 0.968 4.699 2.829
B 0.000 3.547 3.870
B 0.000 6.257 2.794
B -1.463 4.489 4.574
B 1.463 4.489 4.574
B 0.000 9.210 1.106
```

# Ba2AgH6Ir
Calculated powder diffractogram, copper Kα. Input: a crystal structure in Alexandria, relaxed with GGA-PBE.

The 12 most intense peaks (5° ≤ 2θ ≤ 70°), sorted by position:
d (Å)	Rel. int.
5.436	6.0
4.930	36.8
3.652	65.7
2.846	100.0
2.380	71.4
2.245	18.6
1.826	32.5
1.763	16.7
1.701	8.3
1.643	19.3
1.537	36.5
1.423	12.2

Structure:
```
10
Lattice="5.693 0.000 0.000 -2.846 4.930 0.000 0.000 0.000 5.436" Properties=species:S:1:pos:R:3 pbc="T T T"
Ba 0.000 3.287 1.265
Ba 2.846 1.643 4.171
Ag 0.000 0.000 2.718
H 0.000 1.463 4.476
H -1.579 4.199 4.476
H 1.267 0.731 0.960
H 1.579 4.199 4.476
H 4.426 0.731 0.960
H 2.846 3.467 0.960
Ir 0.000 0.000 0.000
```

# BeMoPIr
Calculated powder diffractogram, copper Kα. Input: a crystal structure in Alexandria, relaxed with GGA-PBE.

The 12 most intense peaks (5° ≤ 2θ ≤ 70°), sorted by position:
d (Å)	Rel. int.
5.139	18.4
3.427	68.6
2.851	15.0
2.570	37.3
2.557	75.4
2.056	51.2
2.050	100.0
1.714	18.1
1.481	22.0
1.426	12.1
1.424	24.5
1.360	18.1

Structure:
```
4
Lattice="2.948 0.000 0.000 0.000 3.427 0.000 0.000 0.000 5.139" Properties=species:S:1:pos:R:3 pbc="T T T"
Be 0.000 0.000 0.000
Mo 0.000 1.714 1.790
P 1.474 0.000 2.727
Ir 1.474 1.714 4.404
```